Record 1
Computed powder XRD pattern of LiNi15Ge4 for Cu Kα (weighted mean of Kα1 and Kα2), from a GGA-PBE-relaxed structure.
Neutral-atom scattering factors, no anomalous dispersion.

Structural model:
a = 3.577 Å, b = 3.577 Å, c = 17.740 Å
α = 90.00°, β = 90.00°, γ = 90.00°
Space group P4/mmm (No. 123)
Symmetry-distinct sites (fractional):
Li (0.000, 0.000, 0.000) [1 per cell]
Ni (0.000, 0.500, 0.098) [4 per cell]
Ni (0.000, 0.500, 0.299) [4 per cell]
Ni (0.000, 0.500, 0.500) [2 per cell]
Ni (0.500, 0.500, 0.000) [1 per cell]
Ni (0.500, 0.500, 0.199) [2 per cell]
Ni (0.500, 0.500, 0.400) [2 per cell]
Ge (0.000, 0.000, 0.196) [2 per cell]
Ge (0.000, 0.000, 0.399) [2 per cell]

The 12 most intense peaks (2θ from 10° to 90°), low angle first:
| 2theta | Rel. int. | hkl |
| --- | --- | --- |
| 15.0 | 1 | 0 0 3 |
| 20.0 | 1 | 0 0 4 |
| 25.4 | 1 | 1 0 1 |
| 26.9 | 1 | 1 0 2 |
| 29.2 | 1 | 1 0 3 |
| 32.2 | 1 | 1 0 4 |
| 41.1 | 1 | 1 1 4 |
| 44.0 | 100 | 1 1 5 |
| 51.1 | 32 | 2 0 0 |
| 51.5 | 15 | 0 0 10 |
| 75.1 | 9 | 2 2 0 |
| 75.5 | 18 | 2 0 10 |

***

Record 2
Computed powder XRD pattern of Pa3Co2C4 for Cu Kα (weighted mean of Kα1 and Kα2), from a GGA-PBE-relaxed structure.
Neutral-atom scattering factors, no anomalous dispersion.

Structural model:
a = 3.536 Å, b = 6.272 Å, c = 11.782 Å
α = 90.00°, β = 90.00°, γ = 90.00°
Space group Immm (No. 71)
Symmetry-distinct sites (fractional):
Pa (0.000, 0.000, 0.000) [2 per cell]
Pa (0.000, 0.500, 0.196) [4 per cell]
Co (0.000, 0.172, 0.500) [4 per cell]
C (0.000, 0.281, 0.356) [8 per cell]

The 12 most intense peaks (2θ from 10° to 90°), low angle first:
| 2theta | Rel. int. | hkl |
| --- | --- | --- |
| 26.8 | 61 | 0 1 3 |
| 28.5 | 28 | 0 2 0 |
| 32.8 | 100 | 1 1 2 |
| 39.1 | 34 | 1 2 1 |
| 46.3 | 23 | 0 0 6 |
| 49.4 | 22 | 0 3 3 |
| 53.2 | 13 | 1 3 2 |
| 55.2 | 35 | 1 2 5 |
| 59.2 | 14 | 2 1 3 |
| 70.9 | 13 | 1 1 8 |
| 74.3 | 13 | 2 3 3 |
| 78.0 | 13 | 1 4 5 |

***

Record 3
Computed powder XRD pattern of Na5PtCl8 for Cu Kα (weighted mean of Kα1 and Kα2), from a GGA-PBE-relaxed structure.
Neutral-atom scattering factors, no anomalous dispersion.

Structural model:
a = 11.674 Å, b = 11.674 Å, c = 11.674 Å
α = 90.00°, β = 90.00°, γ = 90.00°
Space group F-43m (No. 216)
Symmetry-distinct sites (fractional):
Na (0.000, 0.000, 0.000) [4 per cell]
Na (0.139, 0.139, 0.361) [16 per cell]
Pt (0.250, 0.250, 0.750) [4 per cell]
Cl (0.131, 0.131, 0.131) [16 per cell]
Cl (0.133, 0.133, 0.633) [16 per cell]

The 12 most intense peaks (2θ from 10° to 90°), low angle first:
| 2theta | Rel. int. | hkl |
| --- | --- | --- |
| 13.1 | 61 | 1 1 1 |
| 15.2 | 70 | 2 0 0 |
| 21.5 | 69 | 2 2 0 |
| 25.3 | 100 | 3 1 1 |
| 26.4 | 39 | 2 2 2 |
| 33.5 | 27 | 3 3 1 |
| 37.8 | 30 | 4 2 2 |
| 40.1 | 43 | 5 1 1 |
| 43.9 | 69 | 4 4 0 |
| 46.0 | 19 | 5 3 1 |
| 59.2 | 19 | 6 4 2 |
| 61.0 | 25 | 5 5 3 |

***

Record 4
Computed powder XRD pattern of PrMgGa for Cu Kα (weighted mean of Kα1 and Kα2), from a GGA-PBE-relaxed structure.
Neutral-atom scattering factors, no anomalous dispersion.

Structural model:
a = 7.5083 Å, b = 7.5083 Å, c = 4.5759 Å
α = 90.00°, β = 90.00°, γ = 120.00°
Space group P-62m (No. 189)
Symmetry-distinct sites (fractional):
Pr (0.0000, 0.4222, 0.0000) [3 per cell]
Mg (0.0000, 0.7575, 0.5000) [3 per cell]
Ga (0.0000, 0.0000, 0.0000) [1 per cell]
Ga (0.3333, 0.6667, 0.5000) [2 per cell]

The 12 most intense peaks (2θ from 10° to 90°), low angle first:
| 2theta | Rel. int. | hkl |
| --- | --- | --- |
| 19.4 | 22 | 0 0 1 |
| 23.7 | 23 | 1 1 0 |
| 27.4 | 29 | 2 0 0 |
| 30.8 | 80 | 1 1 1 |
| 33.8 | 100 | 2 0 1 |
| 36.6 | 25 | 2 1 0 |
| 39.4 | 26 | 0 0 2 |
| 41.7 | 32 | 3 0 0 |
| 50.6 | 20 | 3 1 0 |
| 54.7 | 28 | 3 1 1 |
| 65.8 | 20 | 3 2 1 |
| 66.0 | 18 | 3 1 2 |